For Ca2N, a cell relaxed with GGA-PBE gives the simulated powder X-ray diffraction pattern in this record (Cu Ka).
Kinematic intensities with the Lorentz-polarization factor, no thermal factor.

The 6 most intense peaks (2θ from 10° to 90°), by angle:
2θ/deg, d (Å), I (rel.)
13.75, 6.441, 57
27.70, 3.220, 13
31.84, 2.811, 100
40.22, 2.242, 45
50.61, 1.804, 24
61.05, 1.518, 13

Structure:
abc: 3.6070 3.6070 6.4407
angles: 90.13 90.13 60.01
Atoms (fractional coordinates):
Ca1 0.1672 0.1672 0.1949
Ca2 0.8328 0.8328 0.8051
N1 0.5000 0.5000 0.0000